This entry pairs a crystal structure of Sm3GeSeBr with its theoretical PXRD pattern. Radiation: Cu Kα (weighted mean of Kα1 and Kα2). Structure: a PBE-relaxed structure.
Lines closer than 0.1° are merged.

Structure:
```
12
Lattice="7.5181 0.0000 0.0000 0.0000 4.0817 0.0000 -2.5324 0.0000 10.6288" Properties=species:S:1:pos:R:3 pbc="T T T"
Sm -0.1471 1.0204 1.8176
Sm 0.2141 3.0612 5.4040
Sm 1.1553 3.0612 8.9891
Sm 3.8304 1.0204 1.6397
Sm 4.7716 1.0204 5.2247
Sm 5.1328 3.0612 8.8112
Ge -0.6351 1.0204 7.4242
Ge 5.6208 3.0612 3.2046
Se 1.8189 3.0612 0.6488
Se 3.1668 1.0204 9.9800
Br 1.9122 1.0204 3.9623
Br 3.0735 3.0612 6.6665
```

Main lines, sorted by position (5° ≤ 2θ ≤ 70°):
d (Å), two_theta, Rel. int.
3.810, 23.35, 59
3.128, 28.54, 79
2.731, 32.79, 82
2.614, 34.31, 100
2.535, 35.41, 97
2.436, 36.90, 53

***

This entry pairs a crystal structure of Li4B2O5 with its theoretical PXRD pattern. Radiation: Cu Kα (weighted mean of Kα1 and Kα2). Structure: a PBE-relaxed structure.
Lines closer than 0.1° are merged.

Structure:
```
22
Lattice="4.7511 -3.5424 0.0000 4.7511 3.5424 0.0000 -1.9742 0.0000 6.0213" Properties=species:S:1:pos:R:3 pbc="T T T"
Li 2.0603 2.1374 4.3809
Li 4.4805 2.1374 4.6511
Li 3.4238 0.1621 0.0203
Li 2.4367 -0.1621 3.0310
Li 5.0913 0.1621 2.9904
Li 4.1041 -0.1621 6.0010
Li 3.0474 -2.1374 1.3703
Li 5.4676 -2.1374 1.6404
B 3.1810 2.4980 2.1301
B 5.3340 2.4980 0.8806
B 2.1939 -2.4980 5.1408
B 4.3469 -2.4980 3.8912
O 4.2575 3.2059 1.5053
O 0.8509 0.5603 4.1539
O 3.5032 1.4630 2.9614
O 1.8380 -0.5603 1.1433
O 5.0119 1.4630 0.0493
O 2.5160 -1.4630 5.9721
O 5.6899 0.5603 4.8780
O 4.0248 -1.4630 3.0599
O 6.6771 -0.5603 1.8674
O 3.2704 -3.2059 4.5160
```

Main lines, sorted by position (5° ≤ 2θ ≤ 70°):
d (Å), two_theta, Rel. int.
5.574, 15.90, 62
3.747, 23.75, 72
3.053, 29.25, 89
2.968, 30.11, 67
2.459, 36.55, 100
1.842, 49.47, 51

***

This entry pairs a crystal structure of Ca4GaHg with its theoretical PXRD pattern. Radiation: Cu Kα (weighted mean of Kα1 and Kα2). Structure: a PBE-relaxed structure.
Lines closer than 0.1° are merged.

Structure:
```
6
Lattice="3.7797 0.0000 0.0000 0.0000 3.7797 0.0000 0.0000 0.0000 13.1085" Properties=species:S:1:pos:R:3 pbc="T T T"
Ca 0.0000 0.0000 1.7336
Ca 0.0000 0.0000 11.3749
Ca 1.8899 1.8899 4.7214
Ca 1.8899 1.8899 8.3871
Ga 1.8899 1.8899 0.0000
Hg 0.0000 0.0000 6.5543
```

Main lines, sorted by position (5° ≤ 2θ ≤ 70°):
d (Å), two_theta, Rel. int.
13.109, 6.74, 61
6.554, 13.51, 63
2.859, 31.29, 100
2.673, 33.53, 47
2.154, 41.94, 31
1.576, 58.55, 32

***

This entry pairs a crystal structure of LaPr12Nd5 with its theoretical PXRD pattern. Radiation: Cu Kα (weighted mean of Kα1 and Kα2). Structure: a PBE-relaxed structure.
Lines closer than 0.1° are merged.

Structure:
```
18
Lattice="7.8634 -7.8735 0.0000 7.8634 7.8735 0.0000 0.0000 0.0000 5.2486" Properties=species:S:1:pos:R:3 pbc="T T T"
La 0.0000 0.0000 0.0000
Pr 2.6273 2.6264 0.0000
Pr 13.0995 -2.6264 0.0000
Pr 7.8634 5.2427 2.6243
Pr 5.2437 2.6115 2.6243
Pr 2.6273 -2.6264 0.0000
Pr 7.8634 2.6139 0.0000
Pr 5.2437 -2.6115 2.6243
Pr 10.4831 2.6115 2.6243
Pr 13.0995 2.6264 0.0000
Pr 7.8634 -2.6139 0.0000
Pr 10.4831 -2.6115 2.6243
Pr 7.8634 -5.2427 2.6243
Nd 2.6283 0.0000 2.6243
Nd 5.2372 0.0000 0.0000
Nd 7.8634 0.0000 2.6243
Nd 10.4896 0.0000 0.0000
Nd 13.0985 0.0000 2.6243
```

Main lines, sorted by position (5° ≤ 2θ ≤ 70°):
d (Å), two_theta, Rel. int.
3.029, 29.49, 100
2.623, 34.18, 51
1.855, 49.11, 36
1.582, 58.33, 44
1.515, 61.19, 13

***

This entry pairs a crystal structure of CsLi3Cl4 with its theoretical PXRD pattern. Radiation: Cu Kα (weighted mean of Kα1 and Kα2). Structure: a PBE-relaxed structure.
Lines closer than 0.1° are merged.

Structure:
```
16
Lattice="2.2445 -16.0825 0.0000 2.2445 16.0825 0.0000 0.0000 0.0000 5.3046" Properties=species:S:1:pos:R:3 pbc="T T T"
Cs 2.2445 11.1595 3.9785
Cs 2.2445 -11.1595 1.3262
Li 2.2445 15.0264 3.9785
Li 2.2445 7.2586 3.9785
Li 2.2445 2.3761 3.9785
Li 2.2445 -2.3761 1.3262
Li 2.2445 -7.2586 1.3262
Li 2.2445 -15.0264 1.3262
Cl 2.2445 14.7366 1.3262
Cl 2.2445 7.7977 1.3262
Cl 2.2445 4.8566 3.9785
Cl 2.2445 2.1022 1.3262
Cl 2.2445 -2.1022 3.9785
Cl 2.2445 -4.8566 1.3262
Cl 2.2445 -7.7977 3.9785
Cl 2.2445 -14.7366 3.9785
```

Main lines, sorted by position (5° ≤ 2θ ≤ 70°):
d (Å), two_theta, Rel. int.
8.041, 11.00, 17
5.038, 17.61, 23
3.215, 27.75, 44
3.024, 29.54, 100
2.652, 33.79, 22
2.047, 44.24, 19

***

This entry pairs a crystal structure of Pr2BN2 with its theoretical PXRD pattern. Radiation: Cu Kα (weighted mean of Kα1 and Kα2). Structure: a PBE-relaxed structure.
Lines closer than 0.1° are merged.

Structure:
```
10
Lattice="1.5581 -7.2986 0.0000 1.5581 7.2986 0.0000 0.0000 0.0000 6.4831" Properties=species:S:1:pos:R:3 pbc="T T T"
Pr 1.5581 6.7140 3.2416
Pr 1.5581 3.9083 1.3454
Pr 1.5581 -3.9083 4.5869
Pr 1.5581 -6.7140 0.0000
B 1.5581 1.7049 3.1150
B 1.5581 -1.7049 6.3565
N 1.5581 5.4221 5.5967
N 1.5581 1.2103 4.4819
N 1.5581 -1.2103 1.2404
N 1.5581 -5.4221 2.3551
```

Main lines, sorted by position (5° ≤ 2θ ≤ 70°):
d (Å), two_theta, Rel. int.
3.649, 24.39, 41
3.180, 28.06, 38
3.047, 29.31, 36
2.963, 30.17, 100
2.758, 32.46, 40
2.432, 36.95, 84

***

This entry pairs a crystal structure of Ac16Pr7Y6 with its theoretical PXRD pattern. Radiation: Cu Kα (weighted mean of Kα1 and Kα2). Structure: a PBE-relaxed structure.
Lines closer than 0.1° are merged.

Structure:
```
29
Lattice="0.0000 8.5131 8.5131 8.5131 0.0000 8.5131 8.5131 8.5131 0.0000" Properties=species:S:1:pos:R:3 pbc="T T T"
Ac 11.0094 6.0167 6.0167
Ac 2.1093 2.1093 2.1093
Ac 6.4038 6.4038 2.1093
Ac 6.4038 2.1093 6.4038
Ac 6.0167 6.0167 6.0167
Ac 11.0094 11.0094 6.0167
Ac 11.0094 6.0167 11.0094
Ac 14.9169 10.6223 10.6223
Ac 2.1093 6.4038 6.4038
Ac 6.0167 11.0094 6.0167
Ac 6.0167 6.0167 11.0094
Ac 11.0094 11.0094 11.0094
Ac 10.6223 14.9169 10.6223
Ac 10.6223 10.6223 14.9169
Ac 14.9169 14.9169 14.9169
Ac 6.0167 11.0094 11.0094
Pr 0.0000 0.0000 0.0000
Pr 4.2565 4.2565 0.0000
Pr 4.2565 0.0000 4.2565
Pr 8.5131 4.2565 4.2565
Pr 0.0000 4.2565 4.2565
Pr 4.2565 8.5131 4.2565
Pr 4.2565 4.2565 8.5131
Y 8.5131 8.5131 4.3698
Y 8.5131 4.3698 8.5131
Y 12.6564 8.5131 8.5131
Y 4.3698 8.5131 8.5131
Y 8.5131 12.6564 8.5131
Y 8.5131 8.5131 12.6564
```

Main lines, sorted by position (5° ≤ 2θ ≤ 70°):
d (Å), two_theta, Rel. int.
4.257, 20.87, 16
3.010, 29.68, 100
2.128, 42.47, 15
1.738, 52.67, 29
1.505, 61.63, 8
1.346, 69.88, 8

***

This entry pairs a crystal structure of ZrTlAu with its theoretical PXRD pattern. Radiation: Cu Kα (weighted mean of Kα1 and Kα2). Structure: a PBE-relaxed structure.
Lines closer than 0.1° are merged.

Structure:
```
6
Lattice="6.5698 -1.6362 0.0000 6.5698 1.6362 0.0000 -0.8179 0.0000 6.2370" Properties=species:S:1:pos:R:3 pbc="T T T"
Zr 0.0000 0.0000 0.0000
Zr -0.4090 0.0000 3.1185
Tl 3.6830 0.0000 4.4563
Tl 8.6387 0.0000 1.7807
Au 4.5223 0.0000 1.3449
Au 7.7994 0.0000 4.8921
```

Main lines, sorted by position (5° ≤ 2θ ≤ 70°):
d (Å), two_theta, Rel. int.
3.118, 28.62, 26
2.680, 33.43, 37
2.613, 34.31, 100
2.415, 37.24, 34
2.261, 39.88, 56
2.171, 41.59, 22

***

This entry pairs a crystal structure of Nd3Dy8Tl with its theoretical PXRD pattern. Radiation: Cu Kα (weighted mean of Kα1 and Kα2). Structure: a PBE-relaxed structure.
Lines closer than 0.1° are merged.

Structure:
```
12
Lattice="-4.3381 4.3381 5.6514 4.3381 -4.3381 5.6514 4.3381 4.3381 -5.6514" Properties=species:S:1:pos:R:3 pbc="T T T"
Nd 0.0000 0.0000 0.0000
Nd 4.3381 0.0000 2.8257
Nd 0.0000 4.3381 2.8257
Dy 1.0988 -1.0988 2.7807
Dy 2.1894 -2.1894 5.4809
Dy 2.1488 2.1488 0.1706
Dy -1.0988 1.0988 2.7807
Dy 3.2393 3.2393 2.8707
Dy -2.1894 2.1894 5.4809
Dy 2.1894 2.1894 5.8220
Dy 1.0988 1.0988 8.5221
Tl 0.0000 0.0000 5.6514
```

Main lines, sorted by position (5° ≤ 2θ ≤ 70°):
d (Å), two_theta, Rel. int.
3.670, 24.25, 64
3.068, 29.11, 78
2.826, 31.66, 67
2.699, 33.19, 62
2.468, 36.40, 100
2.026, 44.74, 64

***

This entry pairs a crystal structure of Np2ScNi9 with its theoretical PXRD pattern. Radiation: Cu Kα (weighted mean of Kα1 and Kα2). Structure: a PBE-relaxed structure.
Lines closer than 0.1° are merged.

Structure:
```
24
Lattice="4.8347 0.0000 0.0000 -2.4174 4.1870 0.0000 0.0000 0.0000 16.2808" Properties=species:S:1:pos:R:3 pbc="T T T"
Np 0.0000 2.7913 0.5794
Np 0.0000 2.7913 7.5609
Np 2.4174 1.3957 8.7198
Np 2.4174 1.3957 15.7013
Sc 0.0000 2.7913 4.0702
Sc 2.4174 1.3957 12.2106
Ni 0.0000 0.0000 0.0000
Ni 0.0000 0.0000 4.0702
Ni 0.0000 0.0000 8.1404
Ni 0.0000 0.0000 12.2106
Ni 0.0000 1.3949 10.2134
Ni 0.0000 1.3949 14.2077
Ni -1.2094 3.4896 10.2134
Ni -1.2094 3.4896 14.2077
Ni 1.2080 0.6974 2.0730
Ni 1.2080 0.6974 6.0673
Ni 0.0000 2.7913 12.2106
Ni 2.4174 1.3957 4.0702
Ni 1.2094 3.4896 10.2134
Ni 1.2094 3.4896 14.2077
Ni 3.6267 0.6974 2.0730
Ni 3.6267 0.6974 6.0673
Ni 2.4174 2.7921 2.0730
Ni 2.4174 2.7921 6.0673
```

Main lines, sorted by position (5° ≤ 2θ ≤ 70°):
d (Å), two_theta, Rel. int.
8.140, 10.87, 71
2.570, 34.91, 64
2.417, 37.19, 48
2.078, 43.55, 100
2.033, 44.56, 51
1.953, 46.49, 38

***

This entry pairs a crystal structure of Sc2BeTe with its theoretical PXRD pattern. Radiation: Cu Kα (weighted mean of Kα1 and Kα2). Structure: a PBE-relaxed structure.
Lines closer than 0.1° are merged.

Structure:
```
4
Lattice="-2.0170 2.0170 4.9019 2.0170 -2.0170 4.9019 2.0170 2.0170 -4.9019" Properties=species:S:1:pos:R:3 pbc="T T T"
Sc 0.0000 0.0000 0.0000
Sc 0.0000 2.0170 2.4510
Be 0.0000 0.0000 4.9019
Te 2.0170 0.0000 2.4510
```

Main lines, sorted by position (5° ≤ 2θ ≤ 70°):
d (Å), two_theta, Rel. int.
4.902, 18.10, 41
3.730, 23.85, 48
2.465, 36.44, 100
2.451, 36.67, 25
2.017, 44.94, 27
1.557, 59.34, 23

***

This entry pairs a crystal structure of LaPm3Ir with its theoretical PXRD pattern. Radiation: Cu Kα (weighted mean of Kα1 and Kα2). Structure: a PBE-relaxed structure.
Lines closer than 0.1° are merged.

Structure:
```
10
Lattice="-4.4006 4.2172 4.4299 4.4006 -4.2172 4.4299 4.4006 4.2172 -4.4299" Properties=species:S:1:pos:R:3 pbc="T T T"
La 2.2003 0.3346 0.0000
La 2.2003 3.8826 4.4299
Pm 4.8530 2.4763 -1.7443
Pm 3.9481 -1.7409 2.6857
Pm -0.4524 1.7409 2.6857
Pm 4.8530 1.7409 2.6857
Pm 2.2003 3.8501 0.9189
Pm 2.2003 0.3671 5.3489
Ir 2.2003 3.2528 -1.7816
Ir 2.2003 0.9644 2.6484
```

Main lines, sorted by position (5° ≤ 2θ ≤ 70°):
d (Å), two_theta, Rel. int.
6.101, 14.52, 38
3.049, 29.29, 100
2.787, 32.11, 40
2.771, 32.31, 36
2.679, 33.45, 57
2.352, 38.27, 45